Entry 1:
This entry pairs a crystal structure of Gd2TmHg5 with its calculated powder diffractogram. Radiation: Cu Kα X-rays. Structure: DFT lattice parameters and positions (GGA-PBE).
Neutral-atom scattering factors, no anomalous dispersion.

Largest 10 diffraction maxima, in order of falling intensity, 2θ = 15–90°:
2θ (°), d (Å), I_rel, hkl
34.5, 2.597, 100, 1 2 2
35.1, 2.556, 26, 2 0 0
34.1, 2.631, 22, 0 0 4
62.6, 1.484, 18, 3 2 2
49.7, 1.833, 16, 2 0 4
61.3, 1.512, 12, 1 2 6
72.8, 1.299, 9, 2 4 4
62.2, 1.493, 9, 2 4 0
49.5, 1.840, 9, 0 4 0
61.5, 1.508, 7, 0 4 4

Structural model:
Cell lengths 5.113, 7.359, 10.524 Å; angles 90.00, 90.00, 90.00 degrees
Space group Amm2 (No. 38)
Unique sites:
Gd  0.000  0.000  0.000
Gd  0.500  0.000  0.303
Tm  0.500  0.000  0.747
Hg  0.000  0.000  0.502
Hg  0.000  0.248  0.748
Hg  0.500  0.225  0.030


Entry 2:
This entry pairs a crystal structure of Gd2Zn5Hg with its calculated powder diffractogram. Radiation: Cu Kα X-rays. Structure: DFT lattice parameters and positions (GGA-PBE).
Neutral-atom scattering factors, no anomalous dispersion.

Largest 10 diffraction maxima, in order of falling intensity, 2θ = 15–90°:
2θ (°), d (Å), I_rel, hkl
38.2, 2.358, 100, 1 2 2
71.4, 1.321, 24, 3 2 2
25.5, 3.497, 20, 1 0 2
40.0, 2.254, 20, 2 0 0
32.4, 2.765, 17, 0 2 2
52.3, 1.748, 14, 2 0 4
57.6, 1.600, 11, 0 2 6
72.5, 1.304, 11, 2 2 6
32.3, 2.774, 10, 0 0 4
16.0, 5.537, 9, 0 0 2

Structural model:
Cell lengths 4.508, 6.378, 11.094 Å; angles 90.00, 90.00, 90.00 degrees
Space group Amm2 (No. 38)
Unique sites:
Gd  0.000  0.000  0.000
Gd  0.500  0.000  0.331
Zn  0.000  0.000  0.517
Zn  0.000  0.238  0.733
Zn  0.500  0.221  0.587
Hg  0.500  0.000  0.818


Entry 3:
This entry pairs a crystal structure of Gd2Ho2SiI5 with its calculated powder diffractogram. Radiation: Cu Kα X-rays. Structure: DFT lattice parameters and positions (GGA-PBE).
Neutral-atom scattering factors, no anomalous dispersion.

Largest 10 diffraction maxima, in order of falling intensity, 2θ = 15–90°:
2θ (°), d (Å), I_rel, hkl
29.5, 3.030, 100, 1 1 -2
28.7, 3.109, 50, 6 0 0
41.5, 2.176, 35, 5 1 2
41.7, 2.164, 33, 7 1 -2
43.1, 2.097, 19, 0 2 0
52.7, 1.738, 18, 6 2 0
32.1, 2.788, 18, 5 1 0
28.9, 3.090, 17, 3 1 1
41.2, 2.191, 16, 2 0 -4
26.5, 3.369, 16, 3 1 -1

Structural model:
Cell lengths 19.127, 4.193, 8.764 Å; angles 90.00, 102.78, 90.00 degrees
Space group C2/m (No. 12)
Unique sites:
Gd  0.146  0.000  0.074
Ho  0.000  0.500  0.209
Si  0.000  0.000  0.000
I  0.000  0.000  0.500
I  0.165  0.500  0.341
I  0.170  0.500  0.823


Entry 4:
This entry pairs a crystal structure of Gd2Ho2SiI5 with its calculated powder diffractogram. Radiation: Cu Kα X-rays. Structure: DFT lattice parameters and positions (GGA-PBE).
Neutral-atom scattering factors, no anomalous dispersion.

Largest 10 diffraction maxima, in order of falling intensity, 2θ = 15–90°:
2θ (°), d (Å), I_rel, hkl
29.3, 3.048, 100, 1 1 -2
28.7, 3.112, 46, 6 0 0
41.3, 2.186, 32, 5 1 2
41.6, 2.169, 31, 7 1 -2
32.1, 2.792, 20, 5 1 0
43.1, 2.101, 18, 0 2 0
52.6, 1.741, 18, 6 2 0
40.8, 2.213, 17, 2 0 -4
28.8, 3.100, 15, 3 1 1
26.4, 3.378, 13, 3 1 -1

Structural model:
Cell lengths 19.142, 4.202, 8.855 Å; angles 90.00, 102.73, 90.00 degrees
Space group C2/m (No. 12)
Unique sites:
Gd  0.000  0.000  0.211
Ho  0.144  0.500  0.073
Si  0.000  0.500  0.000
I  0.000  0.500  0.500
I  0.168  0.000  0.332
I  0.173  0.000  0.835


Entry 5:
This entry pairs a crystal structure of Gd2HoMg4In2 with its calculated powder diffractogram. Radiation: Cu Kα X-rays. Structure: DFT lattice parameters and positions (GGA-PBE).
Neutral-atom scattering factors, no anomalous dispersion.

Largest 10 diffraction maxima, in order of falling intensity, 2θ = 15–90°:
2θ (°), d (Å), I_rel, hkl
30.3, 2.947, 100, 1 3 1
33.3, 2.693, 69, 1 2 2
33.4, 2.684, 35, 1 4 0
38.6, 2.335, 26, 2 0 0
64.7, 1.441, 24, 3 3 1
53.8, 1.704, 22, 1 2 4
36.2, 2.483, 20, 0 5 1
41.0, 2.200, 19, 0 3 3
53.9, 1.700, 15, 1 5 3
65.0, 1.435, 15, 2 7 1

Structural model:
Cell lengths 4.671, 13.117, 7.625 Å; angles 90.00, 90.00, 90.00 degrees
Space group Amm2 (No. 38)
Unique sites:
Gd  0.000  0.217  0.000
Ho  0.000  0.000  0.347
Mg  0.000  0.000  0.779
Mg  0.500  0.000  0.025
Mg  0.500  0.122  0.660
In  0.500  0.166  0.283


Entry 6:
This entry pairs a crystal structure of GdHoP2Ir2O2 with its calculated powder diffractogram. Radiation: Cu Kα X-rays. Structure: DFT lattice parameters and positions (GGA-PBE).
Neutral-atom scattering factors, no anomalous dispersion.

Largest 10 diffraction maxima, in order of falling intensity, 2θ = 15–90°:
2θ (°), d (Å), I_rel, hkl
34.0, 2.640, 100, 1 1 1
31.8, 2.813, 60, 1 0 2
39.3, 2.292, 58, 1 1 2
45.9, 1.977, 49, 2 0 0
56.5, 1.627, 48, 1 1 4
22.2, 4.003, 31, 0 0 2
33.6, 2.668, 29, 0 0 3
25.1, 3.546, 27, 1 0 1
58.1, 1.589, 25, 2 0 3
56.9, 1.618, 23, 2 1 2

Structural model:
Cell lengths 3.955, 3.955, 8.005 Å; angles 90.00, 90.00, 90.00 degrees
Space group P4mm (No. 99)
Unique sites:
Gd  0.000  0.000  0.000
Ho  0.500  0.500  0.273
P  0.000  0.000  0.474
P  0.500  0.500  0.802
Ir  0.000  0.500  0.638
O  0.000  0.500  0.141


Entry 7:
This entry pairs a crystal structure of Gd3Ho2ScTe2Ir with its calculated powder diffractogram. Radiation: Cu Kα X-rays. Structure: DFT lattice parameters and positions (GGA-PBE).
Neutral-atom scattering factors, no anomalous dispersion.

Largest 10 diffraction maxima, in order of falling intensity, 2θ = 15–90°:
2θ (°), d (Å), I_rel, hkl
33.5, 2.672, 100, 1 2 2
31.0, 2.884, 98, 1 0 2
33.7, 2.657, 90, 1 4 0
31.2, 2.870, 86, 1 3 1
37.6, 2.390, 66, 0 3 3
45.2, 2.004, 49, 2 0 0
33.2, 2.698, 47, 0 4 2
40.4, 2.232, 37, 1 5 1
33.4, 2.686, 36, 0 5 1
57.3, 1.608, 35, 2 4 2

Structural model:
Cell lengths 4.009, 14.195, 8.307 Å; angles 90.00, 90.00, 90.00 degrees
Space group Amm2 (No. 38)
Unique sites:
Gd  0.000  0.000  0.000
Gd  0.000  0.195  0.395
Ho  0.500  0.117  0.714
Sc  0.500  0.000  0.355
Te  0.500  0.165  0.095
Ir  0.000  0.000  0.566


Entry 8:
This entry pairs a crystal structure of GdHo2Lu with its calculated powder diffractogram. Radiation: Cu Kα X-rays. Structure: DFT lattice parameters and positions (GGA-PBE).
Neutral-atom scattering factors, no anomalous dispersion.

Largest 10 diffraction maxima, in order of falling intensity, 2θ = 15–90°:
2θ (°), d (Å), I_rel, hkl
33.1, 2.710, 100, 1 4 0
32.0, 2.793, 24, 2 0 0
28.8, 3.099, 24, 0 4 0
61.6, 1.507, 23, 2 6 2
57.8, 1.596, 20, 3 4 0
51.0, 1.789, 20, 0 6 2
62.2, 1.493, 16, 1 8 0
43.6, 2.075, 16, 2 4 0
84.5, 1.146, 14, 1 10 2
88.9, 1.101, 9, 4 6 2

Structural model:
Cell lengths 5.586, 12.395, 7.157 Å; angles 90.00, 90.00, 90.00 degrees
Space group Ama2 (No. 40)
Unique sites:
Gd  0.250  0.167  0.000
Ho  0.250  0.166  0.500
Ho  0.250  0.417  0.751
Lu  0.250  0.417  0.249


Entry 9:
This entry pairs a crystal structure of GdHoMg with its calculated powder diffractogram. Radiation: Cu Kα X-rays. Structure: DFT lattice parameters and positions (GGA-PBE).
Neutral-atom scattering factors, no anomalous dispersion.

Largest 10 diffraction maxima, in order of falling intensity, 2θ = 15–90°:
2θ (°), d (Å), I_rel, hkl
33.2, 2.698, 100, 1 3 1
32.8, 2.732, 29, 0 0 2
26.4, 3.371, 27, 0 4 1
31.3, 2.855, 21, 0 6 0
58.8, 1.571, 19, 1 3 3
24.7, 3.611, 18, 1 1 0
46.0, 1.974, 15, 0 6 2
56.3, 1.635, 14, 0 10 1
19.3, 4.607, 13, 0 2 1
35.5, 2.531, 13, 0 6 1

Structural model:
Cell lengths 3.694, 17.132, 5.464 Å; angles 90.00, 90.00, 90.00 degrees
Space group Cmcm (No. 63)
Unique sites:
Gd  0.000  0.227  0.250
Ho  0.000  0.091  0.750
Mg  0.000  0.434  0.750


Entry 10:
This entry pairs a crystal structure of GdHo2Mg4Tl2 with its calculated powder diffractogram. Radiation: Cu Kα X-rays. Structure: DFT lattice parameters and positions (GGA-PBE).
Neutral-atom scattering factors, no anomalous dispersion.

Largest 10 diffraction maxima, in order of falling intensity, 2θ = 15–90°:
2θ (°), d (Å), I_rel, hkl
30.4, 2.936, 100, 1 0 2
33.4, 2.681, 84, 1 2 2
41.3, 2.187, 26, 0 3 3
23.5, 3.792, 24, 0 3 1
38.8, 2.320, 23, 2 0 0
65.1, 1.433, 19, 3 3 1
36.1, 2.485, 18, 0 5 1
54.1, 1.695, 16, 2 4 2
45.9, 1.979, 14, 1 3 3
65.2, 1.431, 12, 3 0 2

Structural model:
Cell lengths 4.641, 13.170, 7.564 Å; angles 90.00, 90.00, 90.00 degrees
Space group Amm2 (No. 38)
Unique sites:
Gd  0.000  0.000  0.000
Ho  0.000  0.218  0.348
Mg  0.000  0.000  0.562
Mg  0.500  0.000  0.322
Mg  0.500  0.121  0.686
Tl  0.500  0.168  0.066


Entry 11:
This entry pairs a crystal structure of Gd2HoMg4Tl2 with its calculated powder diffractogram. Radiation: Cu Kα X-rays. Structure: DFT lattice parameters and positions (GGA-PBE).
Neutral-atom scattering factors, no anomalous dispersion.

Largest 10 diffraction maxima, in order of falling intensity, 2θ = 15–90°:
2θ (°), d (Å), I_rel, hkl
30.3, 2.945, 100, 1 3 1
33.3, 2.692, 54, 1 2 2
33.4, 2.684, 28, 1 4 0
64.9, 1.437, 23, 3 3 1
38.7, 2.328, 23, 2 0 0
41.1, 2.194, 17, 2 1 1
36.1, 2.487, 17, 0 4 2
53.9, 1.700, 16, 2 4 2
23.4, 3.798, 15, 0 3 1
45.7, 1.987, 15, 1 3 3

Structural model:
Cell lengths 4.655, 13.138, 7.631 Å; angles 90.00, 90.00, 90.00 degrees
Space group Amm2 (No. 38)
Unique sites:
Gd  0.000  0.217  0.000
Ho  0.000  0.000  0.348
Mg  0.000  0.000  0.780
Mg  0.500  0.000  0.024
Mg  0.500  0.121  0.661
Tl  0.500  0.166  0.283


Entry 12:
This entry pairs a crystal structure of GdHoTm2Mg2 with its calculated powder diffractogram. Radiation: Cu Kα X-rays. Structure: DFT lattice parameters and positions (GGA-PBE).
Neutral-atom scattering factors, no anomalous dispersion.

Largest 10 diffraction maxima, in order of falling intensity, 2θ = 15–90°:
2θ (°), d (Å), I_rel, hkl
33.6, 2.664, 100, 1 1 3
32.9, 2.726, 30, 2 0 0
26.3, 3.383, 26, 1 0 4
31.1, 2.875, 20, 0 0 6
59.2, 1.562, 20, 3 1 3
35.3, 2.543, 19, 1 0 6
25.2, 3.528, 17, 0 1 1
44.5, 2.034, 14, 0 1 7
45.9, 1.978, 14, 2 0 6
19.3, 4.609, 12, 1 0 2

Structural model:
Cell lengths 5.452, 3.604, 17.252 Å; angles 90.00, 90.00, 90.00 degrees
Space group Amm2 (No. 38)
Unique sites:
Gd  0.000  0.000  0.000
Ho  0.500  0.000  0.809
Tm  0.000  0.000  0.679
Tm  0.500  0.000  0.132
Mg  0.000  0.000  0.339
Mg  0.500  0.000  0.469


Entry 13:
This entry pairs a crystal structure of GdHo2N3 with its calculated powder diffractogram. Radiation: Cu Kα X-rays. Structure: DFT lattice parameters and positions (GGA-PBE).
Neutral-atom scattering factors, no anomalous dispersion.

Largest 8 diffraction maxima, in order of falling intensity, 2θ = 15–90°:
2θ (°), d (Å), I_rel, hkl
31.7, 2.825, 100, 0 1 1
36.7, 2.447, 71, 1 0 2
52.9, 1.730, 49, 1 1 0
63.0, 1.475, 45, 2 0 1
89.6, 1.094, 23, 2 1 2
86.7, 1.123, 19, 1 2 1
66.1, 1.413, 16, 0 2 2
78.1, 1.223, 8, 2 0 4

Structural model:
Cell lengths 3.4611, 3.4611, 8.4722 Å; angles 90.00, 90.00, 120.00 degrees
Space group P-3m1 (No. 164)
Unique sites:
Gd  0.0000  0.0000  0.0000
Ho  0.3333  0.6667  0.3352
N  0.0000  0.0000  0.5000
N  0.3333  0.6667  0.8292


Entry 14:
This entry pairs a crystal structure of GdHoNO with its calculated powder diffractogram. Radiation: Cu Kα X-rays. Structure: DFT lattice parameters and positions (GGA-PBE).
Neutral-atom scattering factors, no anomalous dispersion.

Largest 10 diffraction maxima, in order of falling intensity, 2θ = 15–90°:
2θ (°), d (Å), I_rel, hkl
31.7, 2.826, 100, 2 1 1
32.5, 2.754, 39, 0 2 1
25.8, 3.448, 35, 2 1 0
36.4, 2.465, 32, 0 0 2
46.8, 1.941, 30, 2 3 0
60.7, 1.525, 27, 2 3 2
26.8, 3.321, 23, 0 2 0
44.9, 2.017, 18, 4 0 0
56.6, 1.627, 18, 4 2 1
59.2, 1.561, 15, 4 0 2

Structural model:
Cell lengths 8.069, 6.641, 4.931 Å; angles 90.00, 90.00, 90.00 degrees
Space group Pbcm (No. 57)
Unique sites:
Gd  0.123  0.069  0.250
Ho  0.375  0.584  0.250
N  0.378  0.573  0.750
O  0.137  0.091  0.750